LaGdAg2As4: calculated powder diffraction line list (CuKα), based on a cell relaxed with GGA-PBE.
Kinematic intensities with the Lorentz-polarization factor, no thermal factor.

Principal peaks in the range 10 to 80 degrees two-theta, most intense first:
hkl	2θ/deg	I_rel
1 1 2	35.59	100
2 0 0	44.61	31
3 1 2	76.28	21
0 0 4	34.01	17
2 0 4	57.26	15
1 0 2	27.72	13
1 0 1	23.47	11
1 0 4	40.81	11
1 0 3	33.72	11
2 2 0	64.92	10

Crystal structure
Unit cell a=4.063 b=4.063 c=10.544 alpha=90.00 beta=90.00 gamma=90.00
Space group P4mm (No. 99)
Inequivalent atoms, fractional coordinates:
La1 0.000 0.000 0.000 (multiplicity 1)
Gd1 0.500 0.500 0.456 (multiplicity 1)
Ag1 0.000 0.500 0.722 (multiplicity 2)
As1 0.000 0.000 0.542 (multiplicity 1)
As2 0.000 0.500 0.235 (multiplicity 2)
As3 0.500 0.500 0.901 (multiplicity 1)